Record 1
Diffraction record for Mg3Si4. The powder X-ray diffraction pattern is calculated, not measured: it uses a DFT-relaxed cell (GGA-PBE, the Materials Project) and Cu Kα X-rays.
Neutral-atom scattering factors, no anomalous dispersion.

abc: 5.136 7.041 8.044
angles: 110.09 92.15 106.81
Space group P-1 (No. 2)
Inequivalent atoms, fractional coordinates:
Mg: 0.196 0.389 0.405 (multiplicity 2)
Mg: 0.204 0.367 0.017 (multiplicity 2)
Mg: 0.304 0.101 0.619 (multiplicity 2)
Si: 0.129 0.734 0.315 (multiplicity 2)
Si: 0.245 0.930 0.880 (multiplicity 2)
Si: 0.259 0.019 0.195 (multiplicity 2)
Si: 0.307 0.581 0.766 (multiplicity 2)

Most intense lines, 2θ from 10° to 80°, in order of rising 2θ:
h k l	two_theta	Rel. int.
0 2 0	28.5	37
0 2 -3	36.9	32
2 0 0	37.0	100
1 1 -3	38.0	94
1 -1 3	38.8	65
2 -2 0	38.9	87
0 3 -1	40.3	43
1 1 2	41.3	35
2 1 -1	42.7	30
-1 1 3	43.4	39

Record 2
Diffraction record for Mg5Si6. The powder X-ray diffraction pattern is calculated, not measured: it uses a DFT-relaxed cell (GGA-PBE, the Materials Project) and Cu Kα X-rays.
Neutral-atom scattering factors, no anomalous dispersion.

abc: 4.324 7.000 13.951
angles: 88.87 81.32 87.42
Space group P-1 (No. 2)
Inequivalent atoms, fractional coordinates:
Mg: 0.038 0.362 0.398 (multiplicity 2)
Mg: 0.110 0.876 0.351 (multiplicity 2)
Mg: 0.148 0.510 0.165 (multiplicity 2)
Mg: 0.218 0.003 0.096 (multiplicity 2)
Mg: 0.371 0.808 0.760 (multiplicity 2)
Si: 0.258 0.692 0.952 (multiplicity 2)
Si: 0.282 0.334 0.961 (multiplicity 2)
Si: 0.308 0.179 0.807 (multiplicity 2)
Si: 0.417 0.357 0.537 (multiplicity 2)
Si: 0.434 0.899 0.567 (multiplicity 2)
Si: 0.449 0.434 0.698 (multiplicity 2)

Most intense lines, 2θ from 10° to 80°, in order of rising 2θ:
h k l	two_theta	Rel. int.
1 0 1	20.8	47
1 1 -3	33.0	56
1 2 2	33.6	58
-1 2 1	35.0	87
1 0 5	36.0	46
1 2 -2	36.3	66
1 -2 3	37.7	41
0 3 2	40.7	29
0 2 5	41.4	33
2 0 1	41.8	100